Record 1
Structure and computed X-ray diffraction stick pattern of Li2CoNiP2O8 (a structure optimized by DFT (PBE+U); Cu Kα X-rays).
Intensities are scaled so that the largest is 100.

Atomic structure:
```
data_Li2CoNiP2O8
_chemical_formula_sum 'Li4 Co2 Ni2 P4 O16'
_cell_length_a 4.741
_cell_length_b 5.966
_cell_length_c 10.204
_cell_angle_alpha 90.00
_cell_angle_beta 89.99
_cell_angle_gamma 89.99
_space_group_name_H-M_alt 'P 1'
_space_group_IT_number 1
_space_group_name_Hall 'P 1'
loop_
_atom_site_label
_atom_site_type_symbol
_atom_site_fract_x
_atom_site_fract_y
_atom_site_fract_z
Li1 Li 0.000 0.000 0.000
Li2 Li 0.000 0.500 0.001
Li3 Li 0.500 0.500 0.501
Li4 Li 0.501 0.000 0.500
Co1 Co 0.019 0.250 0.276
Co2 Co 0.983 0.750 0.724
Ni1 Ni 0.484 0.250 0.777
Ni2 Ni 0.516 0.750 0.223
P1 P 0.082 0.750 0.405
P2 P 0.420 0.750 0.907
P3 P 0.581 0.250 0.093
P4 P 0.917 0.250 0.595
O1 O 0.201 0.751 0.547
O2 O 0.223 0.544 0.334
O3 O 0.223 0.956 0.333
O4 O 0.241 0.250 0.601
O5 O 0.257 0.251 0.097
O6 O 0.280 0.957 0.837
O7 O 0.284 0.543 0.835
O8 O 0.298 0.749 0.049
O9 O 0.702 0.249 0.951
O10 O 0.716 0.043 0.165
O11 O 0.721 0.457 0.163
O12 O 0.744 0.751 0.903
O13 O 0.758 0.750 0.400
O14 O 0.777 0.044 0.666
O15 O 0.777 0.456 0.667
O16 O 0.798 0.251 0.453
```

Largest 8 diffraction maxima, by intensity, 2θ = 5–70°:
- 2θ 35.81, rel. 100
- 2θ 25.54, rel. 87
- 2θ 29.95, rel. 59
- 2θ 20.66, rel. 49
- 2θ 17.38, rel. 38
- 2θ 52.46, rel. 36
- 2θ 36.67, rel. 25
- 2θ 57.06, rel. 24

---

Record 2
Structure and computed X-ray diffraction stick pattern of Li4Co3NiP4O16 (a structure optimized by DFT (PBE+U); Cu Kα X-rays).
Intensities are scaled so that the largest is 100.

Atomic structure:
```
data_Li4Co3NiP4O16
_chemical_formula_sum 'Li4 Co3 Ni1 P4 O16'
_cell_length_a 4.746
_cell_length_b 5.965
_cell_length_c 10.232
_cell_angle_alpha 90.00
_cell_angle_beta 90.04
_cell_angle_gamma 90.00
_space_group_name_H-M_alt 'P 1 m 1'
_space_group_IT_number 6
_space_group_name_Hall 'P -2y'
loop_
_atom_site_label
_atom_site_type_symbol
_atom_site_fract_x
_atom_site_fract_y
_atom_site_fract_z
Li1 Li 0.000 0.249 0.000
Li2 Li 0.500 0.249 0.498
Co1 Co 0.022 0.000 0.277
Co2 Co 0.474 0.000 0.776
Co3 Co 0.978 0.500 0.720
Ni1 Ni 0.520 0.500 0.222
P1 P 0.086 0.500 0.403
P2 P 0.416 0.500 0.907
P3 P 0.585 0.000 0.093
P4 P 0.913 0.000 0.592
O1 O 0.204 0.500 0.545
O2 O 0.228 0.294 0.333
O3 O 0.237 0.000 0.597
O4 O 0.262 0.000 0.097
O5 O 0.277 0.294 0.835
O6 O 0.297 0.500 0.048
O7 O 0.706 0.000 0.951
O8 O 0.724 0.207 0.164
O9 O 0.739 0.500 0.901
O10 O 0.763 0.500 0.398
O11 O 0.774 0.206 0.664
O12 O 0.794 0.000 0.451
```

Largest 8 diffraction maxima, by intensity, 2θ = 5–70°:
- 2θ 35.74, rel. 100
- 2θ 25.53, rel. 96
- 2θ 29.96, rel. 60
- 2θ 20.63, rel. 49
- 2θ 17.33, rel. 37
- 2θ 52.42, rel. 36
- 2θ 36.65, rel. 26
- 2θ 57.02, rel. 24

---

Record 3
Structure and computed X-ray diffraction stick pattern of Li4CoNi5P6O24 (a structure optimized by DFT (PBE+U); Cu Kα X-rays).
Intensities are scaled so that the largest is 100.

Atomic structure:
```
data_Li4CoNi5P6O24
_chemical_formula_sum 'Li4 Co1 Ni5 P6 O24'
_cell_length_a 8.285
_cell_length_b 8.348
_cell_length_c 8.364
_cell_angle_alpha 63.06
_cell_angle_beta 63.26
_cell_angle_gamma 63.43
_space_group_name_H-M_alt 'P 1'
_space_group_IT_number 1
_space_group_name_Hall 'P 1'
loop_
_atom_site_label
_atom_site_type_symbol
_atom_site_fract_x
_atom_site_fract_y
_atom_site_fract_z
Li1 Li 0.000 0.000 0.000
Li2 Li 0.104 0.886 0.500
Li3 Li 0.212 0.386 0.403
Li4 Li 0.615 0.596 0.789
Co1 Co 0.214 0.597 0.001
Ni1 Ni 0.001 0.388 0.792
Ni2 Ni 0.364 0.743 0.141
Ni3 Ni 0.498 0.886 0.287
Ni4 Ni 0.714 0.100 0.500
Ni5 Ni 0.850 0.244 0.644
P1 P 0.106 0.193 0.192
P2 P 0.303 0.988 0.689
P3 P 0.409 0.489 0.596
P4 P 0.603 0.287 0.097
P5 P 0.805 0.790 0.896
P6 P 0.907 0.695 0.392
O1 O 0.037 0.218 0.040
O2 O 0.105 0.143 0.717
O3 O 0.110 0.668 0.231
O4 O 0.174 0.354 0.156
O5 O 0.253 0.420 0.622
O6 O 0.255 0.991 0.216
O7 O 0.286 0.829 0.892
O8 O 0.319 0.925 0.537
O9 O 0.370 0.556 0.758
O10 O 0.408 0.653 0.405
O11 O 0.446 0.491 0.074
O12 O 0.468 0.047 0.649
O13 O 0.535 0.131 0.131
O14 O 0.606 0.340 0.578
O15 O 0.608 0.812 0.048
O16 O 0.668 0.259 0.252
O17 O 0.743 0.743 0.332
O18 O 0.756 0.311 0.896
O19 O 0.809 0.981 0.734
O20 O 0.830 0.636 0.828
O21 O 0.899 0.845 0.453
O22 O 0.926 0.495 0.545
O23 O 0.959 0.173 0.394
O24 O 0.968 0.750 0.966
```

Largest 8 diffraction maxima, by intensity, 2θ = 5–70°:
- 2θ 20.33, rel. 100
- 2θ 35.59, rel. 59
- 2θ 24.31, rel. 46
- 2θ 24.46, rel. 30
- 2θ 33.77, rel. 29
- 2θ 34.04, rel. 27
- 2θ 55.68, rel. 20
- 2θ 24.54, rel. 15

---

Record 4
Structure and computed X-ray diffraction stick pattern of Li4Co2Ni3SnP6O24 (a structure optimized by DFT (PBE+U); Cu Kα X-rays).
Intensities are scaled so that the largest is 100.

Atomic structure:
```
data_Li4Co2Ni3SnP6O24
_chemical_formula_sum 'Li4 Co2 Ni3 Sn1 P6 O24'
_cell_length_a 8.408
_cell_length_b 8.514
_cell_length_c 8.515
_cell_angle_alpha 62.71
_cell_angle_beta 63.08
_cell_angle_gamma 63.11
_space_group_name_H-M_alt 'P 1'
_space_group_IT_number 1
_space_group_name_Hall 'P 1'
loop_
_atom_site_label
_atom_site_type_symbol
_atom_site_fract_x
_atom_site_fract_y
_atom_site_fract_z
Li1 Li 0.000 0.000 0.000
Li2 Li 0.102 0.946 0.489
Li3 Li 0.213 0.450 0.342
Li4 Li 0.554 0.658 0.793
Co1 Co 0.361 0.799 0.133
Co2 Co 0.832 0.299 0.636
Ni1 Ni 0.203 0.648 0.990
Ni2 Ni 0.493 0.945 0.281
Ni3 Ni 0.706 0.153 0.489
Sn1 Sn 0.996 0.446 0.789
P1 P 0.103 0.243 0.196
P2 P 0.297 0.046 0.683
P3 P 0.410 0.550 0.582
P4 P 0.599 0.344 0.094
P5 P 0.792 0.857 0.892
P6 P 0.904 0.755 0.389
O1 O 0.036 0.277 0.036
O2 O 0.091 0.199 0.722
O3 O 0.100 0.728 0.231
O4 O 0.166 0.401 0.160
O5 O 0.248 0.478 0.621
O6 O 0.249 0.047 0.212
O7 O 0.284 0.890 0.880
O8 O 0.304 0.988 0.535
O9 O 0.373 0.612 0.741
O10 O 0.403 0.711 0.396
O11 O 0.444 0.543 0.072
O12 O 0.455 0.114 0.632
O13 O 0.535 0.192 0.122
O14 O 0.598 0.871 0.041
O15 O 0.600 0.396 0.561
O16 O 0.676 0.310 0.239
O17 O 0.739 0.799 0.333
O18 O 0.748 0.378 0.885
O19 O 0.793 0.040 0.726
O20 O 0.828 0.695 0.827
O21 O 0.893 0.896 0.459
O22 O 0.928 0.548 0.540
O23 O 0.950 0.816 0.961
O24 O 0.951 0.221 0.390
```

Largest 8 diffraction maxima, by intensity, 2θ = 5–70°:
- 2θ 20.05, rel. 100
- 2θ 35.10, rel. 57
- 2θ 33.10, rel. 30
- 2θ 23.86, rel. 25
- 2θ 33.59, rel. 25
- 2θ 24.01, rel. 25
- 2θ 24.19, rel. 24
- 2θ 54.88, rel. 17

---

Record 5
Structure and computed X-ray diffraction stick pattern of Li4Co3Ni3Sb2O16 (a structure optimized by DFT (PBE+U); Cu Kα X-rays).
Intensities are scaled so that the largest is 100.

Atomic structure:
```
data_Li4Co3Ni3Sb2O16
_chemical_formula_sum 'Li8 Co6 Ni6 Sb4 O32'
_cell_length_a 10.102
_cell_length_b 5.770
_cell_length_c 9.502
_cell_angle_alpha 90.00
_cell_angle_beta 91.81
_cell_angle_gamma 90.00
_space_group_name_H-M_alt 'C 1 m 1'
_space_group_IT_number 8
_space_group_name_Hall 'C -2y'
loop_
_atom_site_label
_atom_site_type_symbol
_atom_site_fract_x
_atom_site_fract_y
_atom_site_fract_z
Li1 Li 0.000 0.000 0.000
Li2 Li 0.002 0.000 0.500
Li3 Li 0.171 0.500 0.091
Li4 Li 0.342 0.000 0.591
Co1 Co 0.333 0.500 0.777
Co2 Co 0.419 0.246 0.277
Ni1 Ni 0.089 0.253 0.778
Ni2 Ni 0.173 0.000 0.279
Sb1 Sb 0.175 0.500 0.502
Sb2 Sb 0.335 0.000 0.006
O1 O 0.003 0.000 0.189
O2 O 0.025 0.500 0.651
O3 O 0.083 0.243 0.398
O4 O 0.161 0.000 0.898
O5 O 0.176 0.500 0.874
O6 O 0.255 0.276 0.648
O7 O 0.265 0.230 0.150
O8 O 0.338 0.000 0.375
O9 O 0.342 0.500 0.389
O10 O 0.417 0.256 0.897
O11 O 0.488 0.000 0.158
O12 O 0.498 0.500 0.690
```

Largest 8 diffraction maxima, by intensity, 2θ = 5–70°:
- 2θ 20.17, rel. 100
- 2θ 19.91, rel. 71
- 2θ 35.80, rel. 54
- 2θ 36.68, rel. 36
- 2θ 64.06, rel. 34
- 2θ 36.44, rel. 34
- 2θ 19.65, rel. 33
- 2θ 33.24, rel. 28

---

Record 6
Structure and computed X-ray diffraction stick pattern of Li4Co3Ni3Sn2O16 (a structure optimized by DFT (PBE+U); Cu Kα X-rays).
Intensities are scaled so that the largest is 100.

Atomic structure:
```
data_Li4Co3Ni3Sn2O16
_chemical_formula_sum 'Li8 Co6 Ni6 Sn4 O32'
_cell_length_a 10.269
_cell_length_b 5.767
_cell_length_c 9.566
_cell_angle_alpha 90.00
_cell_angle_beta 92.46
_cell_angle_gamma 90.00
_space_group_name_H-M_alt 'C 1 m 1'
_space_group_IT_number 8
_space_group_name_Hall 'C -2y'
loop_
_atom_site_label
_atom_site_type_symbol
_atom_site_fract_x
_atom_site_fract_y
_atom_site_fract_z
Li1 Li 0.000 0.000 0.000
Li2 Li 0.001 0.000 0.499
Li3 Li 0.171 0.500 0.602
Li4 Li 0.344 0.000 0.100
Co1 Co 0.334 0.500 0.279
Co2 Co 0.417 0.246 0.778
Ni1 Ni 0.088 0.252 0.279
Ni2 Ni 0.171 0.000 0.780
Sn1 Sn 0.170 0.500 0.001
Sn2 Sn 0.333 0.000 0.502
O1 O 0.024 0.500 0.161
O2 O 0.076 0.238 0.894
O3 O 0.155 0.000 0.395
O4 O 0.177 0.500 0.378
O5 O 0.255 0.278 0.155
O6 O 0.269 0.232 0.659
O7 O 0.343 0.500 0.887
O8 O 0.354 0.000 0.881
O9 O 0.415 0.265 0.392
O10 O 0.487 0.000 0.664
O11 O 0.488 0.500 0.688
O12 O 0.496 0.500 0.190
```

Largest 8 diffraction maxima, by intensity, 2θ = 5–70°:
- 2θ 36.43, rel. 100
- 2θ 19.78, rel. 91
- 2θ 20.13, rel. 80
- 2θ 35.23, rel. 50
- 2θ 19.28, rel. 49
- 2θ 63.23, rel. 48
- 2θ 18.57, rel. 45
- 2θ 19.99, rel. 41